[1]
For Sr2Cd6AgRh, a structure optimized by DFT (PBE) gives the theoretical XRD peak list in this record (Cu Ka).
Neutral-atom scattering factors, no anomalous dispersion.

Largest 12 diffraction maxima, in order of rising 2θ, 5 to 70 degrees two-theta:
- 4.730 Å, 18.8 deg, I 21
- 3.553 Å, 25.1 deg, I 18
- 3.169 Å, 28.2 deg, I 16
- 3.080 Å, 29.0 deg, I 27
- 2.841 Å, 31.5 deg, I 60
- 2.659 Å, 33.7 deg, I 100
- 2.582 Å, 34.7 deg, I 23
- 2.365 Å, 38.0 deg, I 16
- 2.308 Å, 39.0 deg, I 41
- 2.004 Å, 45.2 deg, I 25
- 1.835 Å, 49.7 deg, I 17
- 1.777 Å, 51.4 deg, I 58

Atomic structure:
```
Sr2Cd6AgRh
1.0
3.5528 2.0512 12.3253
-3.5528 2.0512 12.3253
0.0000 -4.1025 12.3253
Sr Cd Ag Rh
4 12 2 2
direct
0.1093 0.1093 0.1093
0.2822 0.2822 0.2822
0.7178 0.7178 0.7178
0.8907 0.8907 0.8907
0.0765 0.6646 0.6646
0.2219 0.2219 0.6582
0.2219 0.6582 0.2219
0.3354 0.3355 0.9235
0.3354 0.9235 0.3354
0.3418 0.7781 0.7781
0.6582 0.2219 0.2219
0.6646 0.0765 0.6646
0.6646 0.6646 0.0765
0.7781 0.3418 0.7781
0.7781 0.7781 0.3418
0.9235 0.3354 0.3355
0.4255 0.4255 0.4255
0.5745 0.5745 0.5745
0.0000 0.0000 0.0000
0.5000 0.5000 0.5000
```

=====

[2]
For SrAgSeCl, a structure optimized by DFT (PBE) gives the theoretical XRD peak list in this record (Cu Ka).
Neutral-atom scattering factors, no anomalous dispersion.

Largest 12 diffraction maxima, in order of rising 2θ, 5 to 70 degrees two-theta:
- 12.698 Å, 7.0 deg, I 100
- 3.814 Å, 23.3 deg, I 12
- 3.604 Å, 24.7 deg, I 29
- 3.467 Å, 25.7 deg, I 14
- 2.723 Å, 32.9 deg, I 58
- 2.341 Å, 38.5 deg, I 17
- 2.248 Å, 40.1 deg, I 53
- 2.230 Å, 40.4 deg, I 10
- 2.213 Å, 40.8 deg, I 10
- 1.942 Å, 46.8 deg, I 12
- 1.733 Å, 52.8 deg, I 14
- 1.373 Å, 68.3 deg, I 14

Atomic structure:
```
SrAgSeCl
1.0
2.2477 1.2977 12.6981
-2.2477 1.2977 12.6981
0.0000 -2.5954 12.6981
Sr Ag Se Cl
2 2 2 2
direct
0.0959 0.0959 0.0959
0.9041 0.9041 0.9041
0.3099 0.3099 0.3099
0.6901 0.6901 0.6901
0.3828 0.3828 0.3828
0.6172 0.6172 0.6172
0.2022 0.2022 0.2022
0.7978 0.7978 0.7978
```

=====

[3]
For Pr4Nd5In, a structure optimized by DFT (PBE) gives the theoretical XRD peak list in this record (Cu Ka).
Neutral-atom scattering factors, no anomalous dispersion.

Largest 12 diffraction maxima, in order of rising 2θ, 5 to 70 degrees two-theta:
- 3.111 Å, 28.7 deg, I 100
- 3.056 Å, 29.2 deg, I 16
- 2.839 Å, 31.5 deg, I 9
- 2.698 Å, 33.2 deg, I 10
- 2.662 Å, 33.7 deg, I 18
- 2.555 Å, 35.1 deg, I 40
- 2.043 Å, 44.3 deg, I 10
- 1.960 Å, 46.3 deg, I 14
- 1.807 Å, 50.5 deg, I 12
- 1.775 Å, 51.5 deg, I 17
- 1.588 Å, 58.1 deg, I 13
- 1.562 Å, 59.1 deg, I 16

Atomic structure:
```
Pr4Nd5In
1.0
-5.4206 5.4206 3.0561
5.4206 -5.4206 3.0561
5.4206 5.4206 -3.0561
Pr Nd In
4 5 1
direct
0.0000 0.3106 0.3106
0.0000 0.6894 0.6894
0.3106 0.0000 0.3106
0.6894 0.0000 0.6894
0.2081 0.2081 0.0000
0.3076 0.3076 0.6275
0.3076 0.6801 0.0000
0.6801 0.3076 0.0000
0.6801 0.6801 0.3725
0.7282 0.7282 0.0000
```

=====

Copy entry 2 word for word.
For SrAgSeCl, a structure optimized by DFT (PBE) gives the theoretical XRD peak list in this record (Cu Ka).
Neutral-atom scattering factors, no anomalous dispersion.

Largest 12 diffraction maxima, in order of rising 2θ, 5 to 70 degrees two-theta:
- 12.698 Å, 7.0 deg, I 100
- 3.814 Å, 23.3 deg, I 12
- 3.604 Å, 24.7 deg, I 29
- 3.467 Å, 25.7 deg, I 14
- 2.723 Å, 32.9 deg, I 58
- 2.341 Å, 38.5 deg, I 17
- 2.248 Å, 40.1 deg, I 53
- 2.230 Å, 40.4 deg, I 10
- 2.213 Å, 40.8 deg, I 10
- 1.942 Å, 46.8 deg, I 12
- 1.733 Å, 52.8 deg, I 14
- 1.373 Å, 68.3 deg, I 14

Atomic structure:
```
SrAgSeCl
1.0
2.2477 1.2977 12.6981
-2.2477 1.2977 12.6981
0.0000 -2.5954 12.6981
Sr Ag Se Cl
2 2 2 2
direct
0.0959 0.0959 0.0959
0.9041 0.9041 0.9041
0.3099 0.3099 0.3099
0.6901 0.6901 0.6901
0.3828 0.3828 0.3828
0.6172 0.6172 0.6172
0.2022 0.2022 0.2022
0.7978 0.7978 0.7978
```